Theoretical powder diffraction line list
Compound: PmSnAu6
Radiation: Cu Kα (weighted mean of Kα1 and Kα2)
Structure: DFT lattice parameters and positions (PBE)

Cell and atoms:
```
8
Lattice="4.7691 0.0000 0.0000 0.0000 5.7249 0.0000 0.0000 0.0000 6.1673" Properties=species:S:1:pos:R:3 pbc="T T T"
Pm 0.0000 0.0000 0.0000
Sn 2.3845 2.8625 1.2443
Au 0.0000 1.4489 2.8492
Au 0.0000 2.8625 5.4528
Au 0.0000 4.2760 2.8492
Au 2.3845 0.0000 2.0358
Au 2.3845 1.4124 4.6507
Au 2.3845 4.3125 4.6507
```

Top 6 peaks for 2θ from 10° to 90°, in order of falling intensity:
| d [Å] | I (rel.) |
| --- | --- |
| 2.280 | 100.0 |
| 2.592 | 98.3 |
| 2.385 | 43.3 |
| 1.356 | 23.8 |
| 1.756 | 19.1 |
| 2.359 | 16.5 |

---

Theoretical powder diffraction line list
Compound: GdBi4O8
Radiation: Cu Kα (weighted mean of Kα1 and Kα2)
Structure: DFT lattice parameters and positions (PBE)

Cell and atoms:
```
13
Lattice="6.7544 -1.8787 0.0000 6.7544 1.8787 0.0000 -5.0467 0.0000 8.5227" Properties=species:S:1:pos:R:3 pbc="T T T"
Gd 0.0000 0.0000 0.0000
Bi -1.0557 0.0000 6.9267
Bi 2.8769 0.0000 5.4057
Bi 6.4148 0.0000 3.1754
Bi 10.0044 0.0000 2.1149
O -1.0352 0.0000 2.1869
O -3.2862 0.0000 6.9823
O 1.1910 0.0000 7.0405
O 3.9548 0.0000 3.0877
O 7.5922 0.0000 1.1750
O 5.4599 0.0000 5.5852
O 6.0101 0.0000 8.2744
O 8.7797 0.0000 4.1461
```

Top 6 peaks for 2θ from 10° to 90°, in order of falling intensity:
| d [Å] | I (rel.) |
| --- | --- |
| 3.127 | 100.0 |
| 3.314 | 57.1 |
| 2.765 | 53.1 |
| 3.301 | 49.7 |
| 1.633 | 32.6 |
| 1.977 | 29.4 |

---

Theoretical powder diffraction line list
Compound: Ac5Pm2Pr4
Radiation: Cu Kα (weighted mean of Kα1 and Kα2)
Structure: DFT lattice parameters and positions (PBE)

Cell and atoms:
```
11
Lattice="9.4250 0.0000 0.0000 0.0000 3.7279 0.0000 -0.4379 0.0000 12.6769" Properties=species:S:1:pos:R:3 pbc="T T T"
Ac 0.0000 0.0000 0.0000
Ac 1.6308 0.0000 6.6812
Ac 2.3042 0.0000 10.3526
Ac 6.6829 0.0000 2.3244
Ac 7.3563 0.0000 5.9958
Pm 3.2560 0.0000 1.4840
Pm 5.7311 0.0000 11.1929
Pr 0.5941 1.8639 3.3934
Pr 4.2013 1.8639 4.5079
Pr 4.7858 1.8639 8.1690
Pr 8.3930 1.8639 9.2836
```

Top 6 peaks for 2θ from 10° to 90°, in order of falling intensity:
| d [Å] | I (rel.) |
| --- | --- |
| 3.093 | 100.0 |
| 3.073 | 93.5 |
| 3.036 | 83.8 |
| 2.796 | 50.8 |
| 2.923 | 50.0 |
| 3.354 | 33.9 |